Calculated XRD peak list
Compound: Hf8Ni21
Radiation: a wavelength of 1.5418 Å
Structure: a DFT-relaxed cell (PBE, the Materials Project)

Peak list (8 most intense, 10° ≤ 2θ ≤ 80°, by angle)
- 2θ 34.62, I = 451
- 2θ 36.13, I = 489
- 2θ 41.48, I = 1000
- 2θ 42.48, I = 803
- 2θ 43.62, I = 752
- 2θ 43.94, I = 771
- 2θ 44.40, I = 981
- 2θ 44.53, I = 728

Crystal structure
```
29
Lattice="6.410 0.000 0.000 2.004 7.730 0.000 3.177 1.437 7.783" Properties=species:S:1:pos:R:3 pbc="T T T"
Hf 1.294 0.636 1.909
Hf 3.742 3.948 3.056
Hf 5.819 5.740 7.516
Hf 5.130 1.732 5.335
Hf 6.462 7.434 2.447
Hf 5.773 3.427 0.266
Hf 7.850 5.219 4.726
Hf 10.298 8.531 5.873
Ni 3.738 5.862 5.899
Ni 2.995 3.311 5.632
Ni 4.697 3.356 7.403
Ni 6.042 8.348 7.494
Ni 4.227 6.492 3.568
Ni 3.083 1.523 3.668
Ni 6.000 7.042 5.114
Ni 5.402 4.383 5.060
Ni 3.543 2.087 1.190
Ni 4.499 5.766 1.204
Ni 3.205 0.000 0.000
Ni 7.093 3.401 6.579
Ni 8.049 7.080 6.593
Ni 6.190 4.784 2.723
Ni 5.591 2.124 2.668
Ni 8.509 7.644 4.114
Ni 7.365 2.675 4.214
Ni 5.550 0.819 0.288
Ni 6.895 5.811 0.379
Ni 8.596 5.856 2.151
Ni 7.854 3.305 1.884
```

Calculated XRD peak list
Compound: DyMnSn2
Radiation: a wavelength of 1.5418 Å
Structure: a DFT-relaxed cell (PBE, the Materials Project)

Peak list (8 most intense, 10° ≤ 2θ ≤ 80°, by angle)
- 2θ 32.46, I = 437
- 2θ 33.35, I = 698
- 2θ 34.85, I = 485
- 2θ 35.21, I = 1000
- 2θ 37.20, I = 333
- 2θ 39.86, I = 245
- 2θ 59.24, I = 163
- 2θ 68.25, I = 134

Crystal structure
```
48
Lattice="10.473 0.000 0.000 0.000 11.438 0.000 0.000 0.000 9.047" Properties=species:S:1:pos:R:3 pbc="T T T"
Dy 1.727 2.050 0.000
Dy 1.790 5.180 2.201
Dy 1.790 5.180 6.845
Dy 3.446 10.899 2.201
Dy 3.446 10.899 6.845
Dy 3.510 7.769 0.000
Dy 6.963 3.669 0.000
Dy 7.027 0.539 2.201
Dy 7.027 0.539 6.845
Dy 8.683 6.258 2.201
Dy 8.683 6.258 6.845
Dy 8.746 9.388 0.000
Mn 0.000 0.000 2.192
Mn 0.000 0.000 6.855
Mn 0.925 8.621 2.234
Mn 0.925 8.621 6.813
Mn 4.311 2.902 2.234
Mn 4.311 2.902 6.813
Mn 5.236 5.719 2.192
Mn 5.236 5.719 6.855
Mn 6.162 8.536 2.234
Mn 6.162 8.536 6.813
Mn 9.547 2.817 2.234
Mn 9.547 2.817 6.813
Sn 0.425 7.118 0.000
Sn 0.466 7.150 4.523
Sn 1.308 10.360 4.523
Sn 1.352 10.279 0.000
Sn 1.696 2.071 3.062
Sn 1.696 2.071 5.985
Sn 3.541 7.790 3.062
Sn 3.541 7.790 5.985
Sn 3.884 4.560 0.000
Sn 3.928 4.641 4.523
Sn 4.770 1.431 4.523
Sn 4.811 1.399 0.000
Sn 5.662 10.038 0.000
Sn 5.703 10.007 4.523
Sn 6.545 6.797 4.523
Sn 6.589 6.878 0.000
Sn 6.932 3.648 3.062
Sn 6.932 3.648 5.985
Sn 8.777 9.367 3.062
Sn 8.777 9.367 5.985
Sn 9.120 1.159 0.000
Sn 9.164 1.078 4.523
Sn 10.007 4.288 4.523
Sn 10.047 4.320 0.000
```

Calculated XRD peak list
Compound: BaBi2Br2O5
Radiation: a wavelength of 1.5418 Å
Structure: a DFT-relaxed cell (PBE, the Materials Project)

Peak list (8 most intense, 10° ≤ 2θ ≤ 80°, by angle)
- 2θ 13.42, I = 504
- 2θ 22.12, I = 623
- 2θ 24.11, I = 732
- 2θ 31.11, I = 748
- 2θ 32.38, I = 1000
- 2θ 44.57, I = 399
- 2θ 50.26, I = 277
- 2θ 56.15, I = 427

Crystal structure
```
10
Lattice="-2.033 2.033 13.197 2.033 -2.033 13.197 2.033 2.033 -13.197" Properties=species:S:1:pos:R:3 pbc="T T T"
Ba 0.000 0.000 0.000
Bi 0.000 0.000 3.684
Bi 0.000 0.000 10.601
Br 0.000 0.000 7.989
Br 0.000 0.000 18.540
O 2.033 0.000 2.518
O 2.033 0.000 11.133
O 0.000 0.000 12.821
O 0.000 2.033 2.518
O 0.000 2.033 11.133
```

Calculated XRD peak list
Compound: BaSrI4
Radiation: a wavelength of 1.5418 Å
Structure: a DFT-relaxed cell (PBE, the Materials Project)

Peak list (8 most intense, 10° ≤ 2θ ≤ 80°, by angle)
- 2θ 15.98, I = 575
- 2θ 21.57, I = 291
- 2θ 24.45, I = 419
- 2θ 25.52, I = 345
- 2θ 29.63, I = 720
- 2θ 29.97, I = 1000
- 2θ 30.56, I = 833
- 2θ 54.16, I = 284

Crystal structure
```
24
Lattice="8.363 0.000 0.000 0.000 17.403 0.000 0.000 0.000 8.187" Properties=species:S:1:pos:R:3 pbc="T T T"
Ba 0.000 2.296 2.047
Ba 0.000 15.107 6.140
Ba 4.181 6.406 6.140
Ba 4.181 10.997 2.047
Sr 0.000 7.056 2.047
Sr 0.000 10.346 6.140
Sr 4.181 1.645 6.140
Sr 4.181 15.758 2.047
I 1.364 4.828 0.100
I 1.364 12.575 4.193
I 2.059 0.210 0.031
I 2.059 17.193 4.124
I 2.122 8.492 4.124
I 2.122 8.911 0.031
I 2.818 3.874 4.193
I 2.818 13.529 0.100
I 5.545 3.874 8.087
I 5.545 13.529 3.993
I 6.241 8.492 8.156
I 6.241 8.911 4.063
I 6.303 0.210 4.063
I 6.303 17.193 8.156
I 6.999 4.828 3.993
I 6.999 12.575 8.087
```

Calculated XRD peak list
Compound: Na2S
Radiation: a wavelength of 1.5418 Å
Structure: a DFT-relaxed cell (PBE, the Materials Project)

Peak list (8 most intense, 10° ≤ 2θ ≤ 80°, by angle)
- 2θ 23.45, I = 469
- 2θ 27.14, I = 45
- 2θ 38.76, I = 1000
- 2θ 45.80, I = 186
- 2θ 55.98, I = 154
- 2θ 61.51, I = 72
- 2θ 70.16, I = 291
- 2θ 75.12, I = 53

Crystal structure
```
12
Lattice="6.571 0.000 0.000 0.000 6.571 0.000 0.000 0.000 6.571" Properties=species:S:1:pos:R:3 pbc="T T T"
Na 1.643 1.643 1.643
Na 1.643 1.643 4.928
Na 1.643 4.928 1.643
Na 1.643 4.928 4.928
Na 4.928 1.643 1.643
Na 4.928 1.643 4.928
Na 4.928 4.928 1.643
Na 4.928 4.928 4.928
S 0.000 0.000 0.000
S 0.000 3.286 3.286
S 3.286 0.000 3.286
S 3.286 3.286 0.000
```

Copy entry 5 word for word.
Calculated XRD peak list
Compound: Na2S
Radiation: a wavelength of 1.5418 Å
Structure: a DFT-relaxed cell (PBE, the Materials Project)

Peak list (8 most intense, 10° ≤ 2θ ≤ 80°, by angle)
- 2θ 23.45, I = 469
- 2θ 27.14, I = 45
- 2θ 38.76, I = 1000
- 2θ 45.80, I = 186
- 2θ 55.98, I = 154
- 2θ 61.51, I = 72
- 2θ 70.16, I = 291
- 2θ 75.12, I = 53

Crystal structure
```
12
Lattice="6.571 0.000 0.000 0.000 6.571 0.000 0.000 0.000 6.571" Properties=species:S:1:pos:R:3 pbc="T T T"
Na 1.643 1.643 1.643
Na 1.643 1.643 4.928
Na 1.643 4.928 1.643
Na 1.643 4.928 4.928
Na 4.928 1.643 1.643
Na 4.928 1.643 4.928
Na 4.928 4.928 1.643
Na 4.928 4.928 4.928
S 0.000 0.000 0.000
S 0.000 3.286 3.286
S 3.286 0.000 3.286
S 3.286 3.286 0.000
```